# 1
Al2V3Mo: calculated powder diffractogram (copper Kα), based on a cell relaxed with PBE.

Top 10 peaks for 10° ≤ 2θ ≤ 90°, sorted by position:
- 6.983 Å, intensity 19
- 3.803 Å, intensity 26
- 2.376 Å, intensity 13
- 2.195 Å, intensity 100
- 2.151 Å, intensity 36
- 2.136 Å, intensity 14
- 2.090 Å, intensity 15
- 2.019 Å, intensity 14
- 1.537 Å, intensity 11
- 1.122 Å, intensity 21

Structural model:
```
data_Al2V3Mo
_chemical_formula_sum 'Al8 V12 Mo4'
_space_group_name_H-M_alt 'P n m a'
_space_group_IT_number 62
_space_group_name_Hall '-P 2ac 2n'
_cell_length_a 7.6114
_cell_length_b 2.6093
_cell_length_c 17.5491
_cell_angle_alpha 90.00
_cell_angle_beta 90.00
_cell_angle_gamma 90.00
loop_
_atom_site_label
_atom_site_type_symbol
_atom_site_fract_x
_atom_site_fract_y
_atom_site_fract_z
_atom_site_occupancy
Al1 Al 0.2317 0.2500 0.1936 1
Al2 Al 0.2469 0.2500 0.4301 1
V1 V 0.0644 0.7500 0.3169 1
V2 V 0.0970 0.2500 0.8093 1
V3 V 0.0976 0.7500 0.5559 1
Mo1 Mo 0.0777 0.7500 0.0652 1
```

# 2
LiZn4Cu6: calculated powder diffractogram (copper Kα), based on a cell relaxed with PBE.

Top 10 peaks for 10° ≤ 2θ ≤ 90°, sorted by position:
- 5.074 Å, intensity 88
- 2.989 Å, intensity 38
- 2.537 Å, intensity 60
- 2.114 Å, intensity 47
- 2.086 Å, intensity 100
- 2.051 Å, intensity 47
- 1.951 Å, intensity 29
- 1.891 Å, intensity 28
- 1.759 Å, intensity 43
- 1.288 Å, intensity 22

Structural model:
```
data_LiZn4Cu6
_chemical_formula_sum 'Li2 Zn8 Cu12'
_space_group_name_H-M_alt 'I -4 2 m'
_space_group_IT_number 121
_space_group_name_Hall 'I -4 2'
_cell_length_a 5.9784
_cell_length_b 5.9784
_cell_length_c 9.5929
_cell_angle_alpha 90.00
_cell_angle_beta 90.00
_cell_angle_gamma 90.00
loop_
_atom_site_label
_atom_site_type_symbol
_atom_site_fract_x
_atom_site_fract_y
_atom_site_fract_z
_atom_site_occupancy
Li1 Li 0.0000 0.0000 0.0000 1
Zn1 Zn 0.2277 0.2277 0.3159 1
Cu1 Cu 0.0000 0.5000 0.0000 1
Cu2 Cu 0.1592 0.1592 0.5857 1
```

# 3
ThB4Ru4: calculated powder diffractogram (copper Kα), based on a cell relaxed with PBE.

Top 10 peaks for 10° ≤ 2θ ≤ 90°, sorted by position:
- 3.809 Å, intensity 15
- 3.786 Å, intensity 21
- 2.817 Å, intensity 40
- 2.685 Å, intensity 28
- 2.295 Å, intensity 45
- 2.284 Å, intensity 100
- 2.265 Å, intensity 25
- 1.694 Å, intensity 16
- 1.457 Å, intensity 17
- 1.343 Å, intensity 23

Structural model:
```
data_ThB4Ru4
_chemical_formula_sum 'Th8 B32 Ru32'
_space_group_name_H-M_alt 'I 41/a c d'
_space_group_IT_number 142
_cell_length_a 7.5716
_cell_length_b 7.5716
_cell_length_c 15.2375
_cell_angle_alpha 90.00
_cell_angle_beta 90.00
_cell_angle_gamma 90.00
loop_
_space_group_symop_operation_xyz
'x,y,z'
'-x,-y,-z'
'-y+1/4,x+3/4,z+1/4'
'y+1/4,-x+3/4,-z+1/4'
'-x+1/2,-y,z+1/2'
'x+1/2,y,-z+1/2'
'y+1/4,-x+1/4,z+3/4'
'-y+1/4,x+1/4,-z+3/4'
'x,-y,-z+1/2'
'-x,y,z+1/2'
'-y+1/4,-x+1/4,-z+1/4'
'y+1/4,x+1/4,z+1/4'
'-x+1/2,y,-z'
'x+1/2,-y,z'
'y+1/4,x+3/4,-z+3/4'
'-y+1/4,-x+3/4,z+3/4'
'x+1/2,y+1/2,z+1/2'
'-x+1/2,-y+1/2,-z+1/2'
'-y+3/4,x+1/4,z+3/4'
'y+3/4,-x+1/4,-z+3/4'
'-x,-y+1/2,z'
'x,y+1/2,-z'
'y+3/4,-x+3/4,z+1/4'
'-y+3/4,x+3/4,-z+1/4'
'x+1/2,-y+1/2,-z'
'-x+1/2,y+1/2,z'
'-y+3/4,-x+3/4,-z+3/4'
'y+3/4,x+3/4,z+3/4'
'-x,y+1/2,-z+1/2'
'x,-y+1/2,z+1/2'
'y+3/4,x+1/4,-z+1/4'
'-y+3/4,-x+1/4,z+1/4'
loop_
_atom_site_label
_atom_site_type_symbol
_atom_site_fract_x
_atom_site_fract_y
_atom_site_fract_z
_atom_site_occupancy
Th1 Th 0.0000 0.2500 0.1250 1
B1 B 0.1459 0.0829 0.2925 1
Ru1 Ru 0.1145 0.1044 0.4364 1
```

Number 1 is which compound? Al2V3Mo